1.
Theoretical XRD peak list of Pm5DyCd3 for λ = 1.5418 Å (Cu Kα), from a cell relaxed with PBE.

Crystal structure
```
Pm5DyCd3
1.0
9.394 0.000 0.000
-4.697 8.135 0.000
0.000 0.000 7.030
Pm Dy Cd
10 2 6
Cartesian
-1.570 2.719 1.757
-3.127 5.416 5.272
0.000 5.424 0.000
0.000 5.424 3.515
3.140 0.000 1.757
1.570 2.719 5.272
6.254 0.000 5.272
3.127 5.416 1.757
4.697 2.712 0.000
4.697 2.712 3.515
0.000 0.000 0.000
0.000 0.000 3.515
-1.547 2.680 5.272
-3.150 5.456 1.757
3.094 0.000 5.272
1.547 2.680 1.757
6.300 0.000 1.757
3.150 5.456 5.272
```

Peak list (12 most intense, 10 to 90 degrees two-theta, low angle first)
| 2theta | Rel. int. |
| --- | --- |
| 31.8 | 100.0 |
| 33.0 | 96.7 |
| 42.1 | 7.0 |
| 46.5 | 34.6 |
| 52.0 | 8.8 |
| 58.2 | 35.2 |
| 59.0 | 18.0 |
| 63.0 | 29.5 |
| 69.3 | 11.0 |
| 78.3 | 14.8 |
| 82.5 | 13.8 |
| 85.4 | 6.0 |

2.
Theoretical XRD peak list of Li2MoBr8 for λ = 1.5418 Å (Cu Kα), from a cell relaxed with PBE.

Crystal structure
```
Li2MoBr8
1.0
7.190 -3.552 0.000
7.190 3.552 0.000
-0.132 0.000 6.567
Li Mo Br
2 1 8
Cartesian
2.320 0.000 0.544
11.928 0.000 6.023
-0.066 0.000 3.284
2.135 0.000 4.483
6.255 1.780 4.822
7.993 1.780 1.745
4.599 0.000 1.333
9.649 0.000 5.234
6.255 -1.780 4.822
7.993 -1.780 1.745
12.113 0.000 2.084
```

Peak list (12 most intense, 10 to 90 degrees two-theta, low angle first)
| 2theta | Rel. int. |
| --- | --- |
| 12.3 | 45.0 |
| 13.9 | 36.0 |
| 19.5 | 31.7 |
| 27.2 | 49.2 |
| 28.0 | 95.2 |
| 28.6 | 85.5 |
| 30.5 | 28.1 |
| 31.1 | 100.0 |
| 31.3 | 48.4 |
| 39.2 | 51.1 |
| 45.7 | 41.5 |
| 59.1 | 25.9 |